TbNdHo2Th: simulated powder XRD pattern (Cu Kα), based on DFT lattice parameters and positions (GGA-PBE).
Intensities are scaled so that the largest is 100.

Most intense lines, 2θ = 10–80°, most intense first:
two_theta, d (Å), Rel. int.
31.57, 2.834, 100
31.73, 2.820, 40
34.81, 2.577, 27
36.41, 2.468, 27
61.67, 1.504, 21
32.63, 2.744, 20
56.42, 1.631, 20
15.71, 5.641, 18
20.43, 4.346, 17
30.86, 2.898, 17

Crystal structure
```
TbNdHo2Th
1.0
3.539 0.000 0.000
0.000 5.641 0.000
0.000 0.000 8.693
Tb Nd Ho Th
1 1 2 1
Cartesian
0.000 0.000 0.000
1.770 0.000 4.346
1.770 2.820 1.555
1.770 2.820 7.138
0.000 2.820 4.346
```